Structure and computed XRD peak list of La3InFeS7 (a crystal structure in the Materials Project, relaxed with PBE; copper Kα).
Neutral-atom scattering factors, no anomalous dispersion.

Principal peaks in the range 2θ = 10–90°, by angle:
| 2theta | d (Å) | I/Imax | h k l |
| --- | --- | --- | --- |
| 22.49 | 3.953 | 11.1 | 1 1 1 |
| 24.73 | 3.600 | 100.0 | 2 0 1 |
| 27.91 | 3.196 | 13.8 | 0 0 2 |
| 33.90 | 2.644 | 18.9 | 3 0 1 |
| 34.81 | 2.577 | 27.8 | 2 0 2 |
| 35.70 | 2.515 | 36.3 | 2 2 0 |
| 39.28 | 2.294 | 15.2 | 1 2 2 |
| 39.88 | 2.260 | 13.2 | 3 1 1 |
| 43.91 | 2.062 | 17.2 | 4 0 1 |
| 45.91 | 1.977 | 16.6 | 2 2 2 |
| 47.50 | 1.914 | 22.3 | 2 0 3 |
| 50.05 | 1.822 | 11.9 | 1 4 1 |

Structure:
```
La3InFeS7
1.0
10.0611 0.0000 0.0000
-5.0306 8.7132 0.0000
0.0000 0.0000 6.3929
La In Fe S
6 2 2 14
direct
0.1516 0.3708 0.0000 La
0.2192 0.8484 0.0000 La
0.3708 0.2192 0.5000 La
0.6292 0.7808 0.0000 La
0.7808 0.1516 0.5000 La
0.8484 0.6292 0.5000 La
0.3333 0.6667 0.4355 In
0.6667 0.3333 0.9355 In
0.0000 0.0000 0.3512 Fe
0.0000 0.0000 0.8512 Fe
0.0794 0.5655 0.2675 S
0.0859 0.2040 0.6032 S
0.1181 0.9141 0.6032 S
0.2040 0.1181 0.1032 S
0.3333 0.6667 0.8125 S
0.4345 0.5140 0.2675 S
0.4860 0.9206 0.2675 S
0.5140 0.0794 0.7675 S
0.5655 0.4860 0.7675 S
0.6667 0.3333 0.3125 S
0.7960 0.8819 0.6032 S
0.8819 0.0859 0.1032 S
0.9141 0.7960 0.1032 S
0.9206 0.4345 0.7675 S
```